# ErN
Simulated powder diffractogram, Cu Kα (weighted mean of Kα1 and Kα2). Input: a DFT-relaxed cell (GGA-PBE, the Materials Project).
Neutral-atom scattering factors, no anomalous dispersion.

Atomic structure:
Cell lengths 4.848, 4.848, 4.848 Å; angles 90.00, 90.00, 90.00 degrees
Space group Fm-3m (No. 225)
Inequivalent atoms, fractional coordinates:
Er  0.000  0.000  0.000
N  0.000  0.000  0.500

Top 6 peaks for 2θ from 10° to 90°, by angle:
2θ (°), I_rel
31.97, 100.0
37.09, 70.4
53.46, 48.3
63.66, 44.3
66.85, 16.2
87.76, 19.3